For Tb2Y2O5, a GGA-PBE-relaxed structure gives the simulated powder X-ray diffraction pattern in this record (λ = 1.5418 Å (Cu Kα)).

Crystal structure
Unit cell a=3.9080 b=3.9080 c=9.8753 alpha=90.00 beta=90.00 gamma=90.00
Positions (direct):
Tb 0.0000 0.0000 0.2370
Tb 0.0000 0.0000 0.7630
Y 0.5000 0.5000 0.0000
Y 0.5000 0.5000 0.5000
O 0.0000 0.0000 0.5000
O 0.0000 0.5000 0.1405
O 0.0000 0.5000 0.8595
O 0.5000 0.0000 0.1405
O 0.5000 0.0000 0.8595

Principal peaks in the range 15 to 90 degrees two-theta, low angle first:
| 2θ (°) | I/Imax | h k l |
| --- | --- | --- |
| 29.14 | 100 | 1 0 2 |
| 32.40 | 33 | 1 1 0 |
| 36.39 | 12 | 0 0 4 |
| 46.47 | 20 | 2 0 0 |
| 49.51 | 30 | 1 1 4 |
| 55.80 | 32 | 2 1 2 |
| 60.42 | 11 | 2 0 4 |
| 61.09 | 11 | 1 0 6 |
| 80.09 | 10 | 2 1 6 |
| 88.47 | 11 | 3 1 4 |